Theoretical powder diffraction line list
Compound: ZnCo2Ni7
Radiation: CuKα
Structure: DFT lattice parameters and positions (GGA-PBE)
Neutral-atom scattering factors, no anomalous dispersion.

Peak list (8 most intense, 2θ from 10° to 80°, most intense first)
Position (°2θ)  I/Imax
47.60  100
50.01  58
23.35  46
41.90  45
47.74  44
28.37  32
15.89  28
38.64  23

Structural model:
a = 6.332 Å, b = 11.779 Å, c = 3.810 Å
α = 90.00°, β = 90.00°, γ = 90.00°
Space group Cmmm (No. 65)
Unique sites:
Zn 0.000 0.000 0.000 [2 per cell]
Co 0.000 0.299 0.500 [4 per cell]
Ni 0.000 0.201 0.000 [4 per cell]
Ni 0.000 0.500 0.500 [2 per cell]
Ni 0.186 0.107 0.500 [8 per cell]

***

Theoretical powder diffraction line list
Compound: NpGeRh3
Radiation: CuKα
Structure: DFT lattice parameters and positions (GGA-PBE)
Neutral-atom scattering factors, no anomalous dispersion.

Peak list (8 most intense, 2θ from 10° to 80°, most intense first)
Position (°2θ)  I/Imax
30.75  100
43.48  87
39.37  70
40.88  57
42.91  39
31.87  35
37.38  31
35.96  28

Structural model:
a = 5.450 Å, b = 7.530 Å, c = 8.431 Å
α = 90.00°, β = 90.00°, γ = 90.00°
Space group Imma (No. 74)
Unique sites:
Np 0.000 0.250 0.008 [4 per cell]
Ge 0.000 0.000 0.500 [4 per cell]
Rh 0.000 0.250 0.691 [4 per cell]
Rh 0.250 0.058 0.250 [8 per cell]

***

Theoretical powder diffraction line list
Compound: TbGdMgAl
Radiation: CuKα
Structure: DFT lattice parameters and positions (GGA-PBE)
Neutral-atom scattering factors, no anomalous dispersion.

Peak list (8 most intense, 2θ from 10° to 80°, most intense first)
Position (°2θ)  I/Imax
34.27  100
24.05  62
61.36  37
55.52  26
42.30  19
49.24  18
77.36  12
72.20  11

Structural model:
a = 7.401 Å, b = 7.401 Å, c = 7.401 Å
α = 90.00°, β = 90.00°, γ = 90.00°
Space group F-43m (No. 216)
Unique sites:
Tb 0.000 0.000 0.000 [4 per cell]
Gd 0.000 0.000 0.500 [4 per cell]
Mg 0.250 0.250 0.750 [4 per cell]
Al 0.250 0.250 0.250 [4 per cell]

***

Theoretical powder diffraction line list
Compound: Tb3PrTm
Radiation: CuKα
Structure: DFT lattice parameters and positions (GGA-PBE)
Neutral-atom scattering factors, no anomalous dispersion.

Peak list (8 most intense, 2θ from 10° to 80°, most intense first)
Position (°2θ)  I/Imax
32.28  100
32.55  97
30.73  76
30.35  43
27.52  26
37.53  26
49.87  24
29.22  23

Structural model:
a = 9.627 Å, b = 6.112 Å, c = 11.640 Å
α = 90.00°, β = 108.25°, γ = 90.00°
Space group P2_1/c (No. 14)
Unique sites:
Tb 0.007 0.173 0.382 [4 per cell]
Tb 0.398 0.621 0.222 [4 per cell]
Tb 0.405 0.239 0.479 [4 per cell]
Pr 0.198 0.137 0.176 [4 per cell]
Tm 0.206 0.709 0.427 [4 per cell]

***

Theoretical powder diffraction line list
Compound: PrGeN2
Radiation: CuKα
Structure: DFT lattice parameters and positions (GGA-PBE)
Neutral-atom scattering factors, no anomalous dispersion.

Peak list (8 most intense, 2θ from 10° to 80°, most intense first)
Position (°2θ)  I/Imax
27.37  100
30.91  55
30.28  44
25.35  42
33.54  41
48.09  38
29.92  32
25.51  28

Structural model:
a = 12.933 Å, b = 7.572 Å, c = 11.968 Å
α = 90.00°, β = 114.09°, γ = 90.00°
Space group C2/c (No. 15)
Unique sites:
Pr 0.105 0.153 0.439 [8 per cell]
Pr 0.159 0.418 0.149 [8 per cell]
Ge 0.082 0.141 0.675 [8 per cell]
Ge 0.107 0.422 0.874 [8 per cell]
N 0.000 0.014 0.750 [4 per cell]
N 0.000 0.420 0.250 [4 per cell]
N 0.026 0.295 0.951 [8 per cell]
N 0.183 0.303 0.793 [8 per cell]
N 0.204 0.433 0.498 [8 per cell]

***

Theoretical powder diffraction line list
Compound: Ti5Cu2
Radiation: CuKα
Structure: DFT lattice parameters and positions (GGA-PBE)
Neutral-atom scattering factors, no anomalous dispersion.

Peak list (8 most intense, 2θ from 10° to 80°, most intense first)
Position (°2θ)  I/Imax
37.34  100
40.28  93
40.91  86
40.64  71
41.71  67
42.65  66
45.34  65
41.54  53

Structural model:
a = 11.347 Å, b = 13.712 Å, c = 2.882 Å
α = 90.00°, β = 90.00°, γ = 90.00°
Space group Pbam (No. 55)
Unique sites:
Ti 0.016 0.096 0.000 [4 per cell]
Ti 0.090 0.418 0.500 [4 per cell]
Ti 0.132 0.599 0.000 [4 per cell]
Ti 0.183 0.207 0.500 [4 per cell]
Ti 0.189 0.000 0.500 [4 per cell]
Cu 0.049 0.748 0.500 [4 per cell]
Cu 0.207 0.833 0.000 [4 per cell]

***

Theoretical powder diffraction line list
Compound: Ba8Ag6Rh
Radiation: CuKα
Structure: DFT lattice parameters and positions (GGA-PBE)
Neutral-atom scattering factors, no anomalous dispersion.

Peak list (8 most intense, 2θ from 10° to 80°, most intense first)
Position (°2θ)  I/Imax
32.76  100
27.69  69
26.48  57
32.11  43
29.63  41
13.79  29
21.94  24
54.63  23

Structural model:
a = 10.4453 Å, b = 10.4453 Å, c = 19.2641 Å
α = 90.00°, β = 90.00°, γ = 120.00°
Space group R-3 (No. 148, hexagonal axes)
Unique sites:
Ba 0.0000 0.0000 0.1683 [6 per cell]
Ba 0.0187 0.2507 0.5931 [18 per cell]
Ag 0.0026 0.4102 0.4377 [18 per cell]
Rh 0.0000 0.0000 0.5000 [3 per cell]

***

Theoretical powder diffraction line list
Compound: TbHRh3
Radiation: CuKα
Structure: DFT lattice parameters and positions (GGA-PBE)
Neutral-atom scattering factors, no anomalous dispersion.

Peak list (8 most intense, 2θ from 10° to 80°, most intense first)
Position (°2θ)  I/Imax
38.11  100
44.29  49
77.38  37
64.43  32
21.73  3
30.92  3
49.85  2
54.99  1

Structural model:
a = 4.090 Å, b = 4.090 Å, c = 4.090 Å
α = 90.00°, β = 90.00°, γ = 90.00°
Space group Pm-3m (No. 221)
Unique sites:
Tb 0.000 0.000 0.000 [1 per cell]
H 0.500 0.500 0.500 [1 per cell]
Rh 0.000 0.500 0.500 [3 per cell]

***

Theoretical powder diffraction line list
Compound: Pr3Ga2Au3
Radiation: CuKα
Structure: DFT lattice parameters and positions (GGA-PBE)
Neutral-atom scattering factors, no anomalous dispersion.

Peak list (8 most intense, 2θ from 10° to 80°, most intense first)
Position (°2θ)  I/Imax
31.52  100
31.83  62
39.55  59
35.97  51
39.27  44
32.51  41
27.41  38
35.03  33

Structural model:
a = 4.557 Å, b = 11.016 Å, c = 15.371 Å
α = 90.00°, β = 90.00°, γ = 90.00°
Space group Cmcm (No. 63)
Unique sites:
Pr 0.000 0.092 0.102 [8 per cell]
Pr 0.000 0.386 0.250 [4 per cell]
Ga 0.000 0.204 0.601 [8 per cell]
Au 0.000 0.331 0.750 [4 per cell]
Au 0.000 0.385 0.046 [8 per cell]

***

Theoretical powder diffraction line list
Compound: Nd4Y3Th2
Radiation: CuKα
Structure: DFT lattice parameters and positions (GGA-PBE)
Neutral-atom scattering factors, no anomalous dispersion.

Peak list (8 most intense, 2θ from 10° to 80°, most intense first)
Position (°2θ)  I/Imax
31.73  100
30.25  63
29.70  57
29.96  55
36.70  41
37.15  25
54.48  22
48.44  20

Structural model:
a = 16.399 Å, b = 11.929 Å, c = 6.227 Å
α = 90.00°, β = 97.73°, γ = 90.00°
Space group C2/c (No. 15)
Unique sites:
Nd 0.051 0.137 0.017 [8 per cell]
Nd 0.216 0.369 0.849 [8 per cell]
Y 0.000 0.392 0.750 [4 per cell]
Y 0.170 0.112 0.581 [8 per cell]
Th 0.108 0.362 0.310 [8 per cell]

***

Theoretical powder diffraction line list
Compound: Zn9Pd2Pt
Radiation: CuKα
Structure: DFT lattice parameters and positions (GGA-PBE)
Neutral-atom scattering factors, no anomalous dispersion.

Peak list (8 most intense, 2θ from 10° to 80°, most intense first)
Position (°2θ)  I/Imax
42.66  100
40.24  75
42.44  68
43.12  52
38.13  48
12.40  22
74.82  17
57.23  17

Structural model:
a = 4.721 Å, b = 5.255 Å, c = 7.348 Å
α = 103.71°, β = 90.12°, γ = 91.02°
Space group P-1 (No. 2)
Unique sites:
Zn 0.000 0.000 0.000 [1 per cell]
Zn 0.066 0.831 0.332 [2 per cell]
Zn 0.078 0.664 0.664 [2 per cell]
Zn 0.417 0.249 0.496 [2 per cell]
Zn 0.468 0.404 0.160 [2 per cell]
Pd 0.443 0.088 0.819 [2 per cell]
Pt 0.000 0.500 0.000 [1 per cell]

***

Theoretical powder diffraction line list
Compound: Sr8GaHg2
Radiation: CuKα
Structure: DFT lattice parameters and positions (GGA-PBE)
Neutral-atom scattering factors, no anomalous dispersion.

Peak list (8 most intense, 2θ from 10° to 80°, most intense first)
Position (°2θ)  I/Imax
31.26  100
29.69  89
31.48  81
27.78  74
27.26  73
34.57  47
27.94  47
37.24  44

Structural model:
a = 20.405 Å, b = 5.722 Å, c = 8.020 Å
α = 90.00°, β = 108.10°, γ = 90.00°
Space group C2/m (No. 12)
Unique sites:
Sr 0.033 0.000 0.300 [4 per cell]
Sr 0.092 0.500 0.942 [4 per cell]
Sr 0.167 0.500 0.466 [4 per cell]
Sr 0.205 0.000 0.819 [4 per cell]
Ga 0.000 0.500 0.500 [2 per cell]
Hg 0.183 0.000 0.209 [4 per cell]